No. 1
For Lu3In3PtAu, a structure optimized by DFT (GGA-PBE) gives the simulated powder diffractogram in this record (copper Kα).
Peak positions follow from Bragg's law for the DFT cell and can differ from measured ones.

Cell and atoms:
Cell lengths 7.668, 7.668, 3.587 Å; angles 90.00, 90.00, 120.00 degrees
Positions (direct):
Lu 0.012 0.424 0.000
Lu 0.411 0.988 0.000
Lu 0.576 0.589 0.000
In 0.000 0.769 0.500
In 0.231 0.232 0.500
In 0.768 0.000 0.500
Pt 0.333 0.667 0.500
Au 0.667 0.333 0.500

Top 6 peaks for 10 to 80 degrees two-theta, low angle first:
| 2theta | I (rel.) |
| --- | --- |
| 13.33 | 27 |
| 34.23 | 100 |
| 35.77 | 66 |
| 36.89 | 65 |
| 63.78 | 24 |
| 70.02 | 22 |

---

No. 2
For Nd3Mg3In2Au, a structure optimized by DFT (GGA-PBE) gives the simulated powder diffractogram in this record (copper Kα).
Peak positions follow from Bragg's law for the DFT cell and can differ from measured ones.

Cell and atoms:
Cell lengths 7.690, 7.690, 4.639 Å; angles 90.00, 90.00, 120.00 degrees
Positions (direct):
Nd 0.000 0.593 0.000
Nd 0.407 0.407 0.000
Nd 0.593 0.000 0.000
Mg 0.000 0.235 0.500
Mg 0.235 0.000 0.500
Mg 0.765 0.765 0.500
In 0.333 0.667 0.500
In 0.667 0.333 0.500
Au 0.000 0.000 0.000

Top 6 peaks for 10 to 80 degrees two-theta, low angle first:
| 2theta | I (rel.) |
| --- | --- |
| 23.13 | 39 |
| 30.19 | 56 |
| 33.12 | 100 |
| 38.83 | 27 |
| 40.64 | 33 |
| 40.79 | 36 |

---

No. 3
For Pr3Mg2InPd2Au, a structure optimized by DFT (GGA-PBE) gives the simulated powder diffractogram in this record (copper Kα).
Peak positions follow from Bragg's law for the DFT cell and can differ from measured ones.

Cell and atoms:
Cell lengths 4.189, 7.703, 7.703 Å; angles 119.50, 90.00, 90.00 degrees
Positions (direct):
Pr 0.000 0.000 0.000
Pr 0.000 0.427 0.835
Pr 0.000 0.835 0.427
Mg 0.500 0.177 0.423
Mg 0.500 0.423 0.177
In 0.500 0.667 0.667
Pd 0.500 0.093 0.758
Pd 0.500 0.758 0.093
Au 0.000 0.404 0.404

Top 6 peaks for 10 to 80 degrees two-theta, low angle first:
| 2theta | I (rel.) |
| --- | --- |
| 25.07 | 19 |
| 31.56 | 57 |
| 34.26 | 100 |
| 34.43 | 24 |
| 40.36 | 20 |
| 43.20 | 27 |

---

No. 4
For Tb3Mg3TlInAu, a structure optimized by DFT (GGA-PBE) gives the simulated powder diffractogram in this record (copper Kα).
Peak positions follow from Bragg's law for the DFT cell and can differ from measured ones.

Cell and atoms:
Cell lengths 7.566, 7.566, 4.473 Å; angles 90.00, 90.00, 120.00 degrees
Positions (direct):
Tb 0.000 0.408 0.000
Tb 0.407 0.000 0.000
Tb 0.592 0.593 0.000
Mg 0.001 0.763 0.500
Mg 0.237 0.238 0.500
Mg 0.762 0.999 0.500
Tl 0.667 0.333 0.500
In 0.333 0.667 0.500
Au 0.000 0.000 0.000

Top 6 peaks for 10 to 80 degrees two-theta, low angle first:
| 2theta | I (rel.) |
| --- | --- |
| 23.52 | 44 |
| 24.09 | 28 |
| 30.96 | 63 |
| 33.92 | 100 |
| 41.34 | 36 |
| 41.69 | 38 |

---

No. 5
For In2MoAu, a structure optimized by DFT (GGA-PBE) gives the simulated powder diffractogram in this record (copper Kα).
Peak positions follow from Bragg's law for the DFT cell and can differ from measured ones.

Cell and atoms:
Cell lengths 4.790, 4.790, 4.790 Å; angles 60.00, 60.00, 60.00 degrees
Positions (direct):
In 0.000 0.000 0.000
In 0.250 0.250 0.250
Mo 0.500 0.500 0.500
Au 0.750 0.750 0.750

Top 6 peaks for 10 to 80 degrees two-theta, low angle first:
| 2theta | I (rel.) |
| --- | --- |
| 22.74 | 6 |
| 26.31 | 4 |
| 37.56 | 100 |
| 44.35 | 3 |
| 54.16 | 17 |
| 67.78 | 35 |

---

No. 6
For Na2In5Au6, a structure optimized by DFT (GGA-PBE) gives the simulated powder diffractogram in this record (copper Kα).
Peak positions follow from Bragg's law for the DFT cell and can differ from measured ones.

Cell and atoms:
Cell lengths 9.463, 9.463, 9.463 Å; angles 90.00, 90.00, 90.00 degrees
Positions (direct):
Na 0.000 0.328 0.500
Na 0.000 0.672 0.500
Na 0.328 0.500 0.000
Na 0.500 0.000 0.328
Na 0.500 0.000 0.672
Na 0.672 0.500 0.000
In 0.000 0.500 0.164
In 0.000 0.500 0.836
In 0.164 0.000 0.500
In 0.217 0.217 0.217
In 0.217 0.217 0.783
In 0.217 0.783 0.217
In 0.217 0.783 0.783
In 0.500 0.164 0.000
In 0.500 0.500 0.500
In 0.500 0.836 0.000
In 0.783 0.217 0.217
In 0.783 0.217 0.783
In 0.783 0.783 0.217
In 0.783 0.783 0.783
In 0.836 0.000 0.500
Au 0.000 0.000 0.238
Au 0.000 0.000 0.762
Au 0.000 0.238 0.000
Au 0.000 0.762 0.000
Au 0.238 0.000 0.000
Au 0.240 0.500 0.328
Au 0.240 0.500 0.672
Au 0.328 0.240 0.500
Au 0.328 0.760 0.500
Au 0.500 0.328 0.240
Au 0.500 0.328 0.760
Au 0.500 0.672 0.240
Au 0.500 0.672 0.760
Au 0.672 0.240 0.500
Au 0.672 0.760 0.500
Au 0.760 0.500 0.328
Au 0.760 0.500 0.672
Au 0.762 0.000 0.000

Top 6 peaks for 10 to 80 degrees two-theta, low angle first:
| 2theta | I (rel.) |
| --- | --- |
| 13.23 | 30 |
| 20.99 | 27 |
| 34.16 | 20 |
| 35.50 | 36 |
| 38.04 | 41 |
| 39.26 | 100 |